The following is a simulated powder XRD pattern of Sr2ThAgPd6. It was derived from DFT lattice parameters and positions (PBE), using a wavelength of 1.5418 Å.

The 12 most intense peaks (2θ from 10° to 90°), in order of rising 2θ:
17.32°, I = 60
24.59°, I = 32
30.23°, I = 36
35.05°, I = 100
39.34°, I = 30
43.28°, I = 14
50.40°, I = 70
53.70°, I = 15
59.91°, I = 14
62.87°, I = 24
74.05°, I = 11
84.64°, I = 31

Structural model:
```
Sr2ThAgPd6
1.0
0.000 5.121 5.121
5.121 0.000 5.121
5.121 5.121 0.000
Sr Th Ag Pd
2 1 1 6
direct
0.250 0.250 0.250
0.750 0.750 0.750
0.000 0.000 0.000
0.500 0.500 0.500
0.250 0.250 0.750
0.250 0.750 0.250
0.250 0.750 0.750
0.750 0.250 0.250
0.750 0.250 0.750
0.750 0.750 0.250
```